This entry pairs a crystal structure of Te2Au2O5 with its calculated X-ray powder pattern. Radiation: copper Kα. Structure: DFT lattice parameters and positions (GGA-PBE).

Crystal structure
```
Te2Au2O5
1.0
4.186 0.000 0.000
0.000 4.186 0.000
0.000 0.000 7.262
Te Au O
2 2 5
Direct
0.000 0.000 0.234 Te
0.000 0.000 0.766 Te
0.500 0.500 0.000 Au
0.500 0.500 0.500 Au
0.000 0.000 0.500 O
0.000 0.500 0.240 O
0.000 0.500 0.760 O
0.500 0.000 0.240 O
0.500 0.000 0.760 O
```

Principal peaks in the range 15 to 90 degrees two-theta, in order of falling intensity:
h k l  2θ (°)  d [Å]  I_rel
1 0 2  32.6  2.743  100.0
1 1 0  30.2  2.960  55.5
2 1 2  55.2  1.664  47.3
2 0 0  43.2  2.093  32.2
1 1 4  59.8  1.548  15.9
2 0 4  68.4  1.371  15.3
3 2 2  88.4  1.106  13.5
3 0 2  72.6  1.302  12.0